1.
The following is a computed powder diffractogram of Ce4B3Rh12Au. It was derived from a DFT-relaxed cell (GGA-PBE, Alexandria), using Cu Kα.

Principal peaks in the range 2θ from 10° to 90°, by angle:
3.098 Å, 2θ 28.82, intensity 16.6; 2.771 Å, 2θ 32.31, intensity 11.7; 2.529 Å, 2θ 35.49, intensity 100.0; 2.342 Å, 2θ 38.44, intensity 16.8; 2.190 Å, 2θ 41.21, intensity 80.4; 1.549 Å, 2θ 59.70, intensity 49.5; 1.321 Å, 2θ 71.42, intensity 31.7; 1.265 Å, 2θ 75.12, intensity 15.4

Structure:
Cell lengths 8.7616, 8.7616, 8.7616 Å; angles 90.00, 90.00, 90.00 degrees
Space group Im-3m (No. 229)
Asymmetric unit:
Ce  0.2500  0.2500  0.2500 [8 per cell]
B  0.0000  0.0000  0.5000 [6 per cell]
Rh  0.0000  0.0000  0.2832 [12 per cell]
Rh  0.0000  0.2500  0.5000 [12 per cell]
Au  0.0000  0.0000  0.0000 [2 per cell]

***

2.
The following is a computed powder diffractogram of UZn17Ru. It was derived from a DFT-relaxed cell (GGA-PBE, Alexandria), using Cu Kα.

Principal peaks in the range 2θ from 10° to 90°, by angle:
6.729 Å, 2θ 13.16, intensity 55.2; 2.623 Å, 2θ 34.19, intensity 71.0; 2.271 Å, 2θ 39.68, intensity 100.0; 2.243 Å, 2θ 40.21, intensity 98.6; 2.166 Å, 2θ 41.71, intensity 75.3; 2.011 Å, 2θ 45.08, intensity 87.5; 1.955 Å, 2θ 46.45, intensity 42.3; 1.311 Å, 2θ 72.02, intensity 34.1

Structure:
Cell lengths 9.0847, 9.0847, 12.9857 Å; angles 90.00, 90.00, 120.00 degrees
Space group R3m (No. 160, hexagonal axes)
Asymmetric unit:
U  0.0000  0.0000  0.0000 [3 per cell]
Zn  0.0000  0.0000  0.2485 [3 per cell]
Zn  0.0000  0.0000  0.4584 [3 per cell]
Zn  0.0065  0.5032  0.1923 [9 per cell]
Zn  0.0087  0.5044  0.8397 [9 per cell]
Zn  0.0357  0.3612  0.3558 [18 per cell]
Zn  0.1695  0.3391  0.8620 [9 per cell]
Ru  0.0000  0.0000  0.8186 [3 per cell]

***

3.
The following is a computed powder diffractogram of Na5B7C3. It was derived from a DFT-relaxed cell (GGA-PBE, Alexandria), using Cu Kα.

Principal peaks in the range 2θ from 10° to 90°, by angle:
2.573 Å, 2θ 34.87, intensity 12.1; 2.465 Å, 2θ 36.44, intensity 16.3; 2.209 Å, 2θ 40.85, intensity 48.3; 2.154 Å, 2θ 41.94, intensity 38.5; 2.140 Å, 2θ 42.23, intensity 100.0; 1.622 Å, 2θ 56.75, intensity 9.3; 1.466 Å, 2θ 63.47, intensity 8.7; 1.241 Å, 2θ 76.81, intensity 13.0

Structure:
Cell lengths 4.9306, 7.6284, 9.0631 Å; angles 76.74, 74.70, 73.87 degrees
Space group P-1 (No. 2)
Asymmetric unit:
Na  0.0000  0.0000  0.0000 [1 per cell]
Na  0.0000  0.5000  0.5000 [1 per cell]
Na  0.1984  0.1002  0.5019 [2 per cell]
Na  0.2013  0.5998  0.0026 [2 per cell]
Na  0.3938  0.2020  0.0003 [2 per cell]
Na  0.4037  0.6976  0.5015 [2 per cell]
B  0.0379  0.3512  0.2492 [2 per cell]
B  0.1682  0.2568  0.7498 [2 per cell]
B  0.1920  0.7429  0.2507 [2 per cell]
B  0.1970  0.9758  0.2508 [2 per cell]
B  0.3806  0.8358  0.7505 [2 per cell]
B  0.4392  0.0639  0.7493 [2 per cell]
B  0.4568  0.5396  0.2494 [2 per cell]
C  0.0460  0.8445  0.7501 [2 per cell]
C  0.2119  0.4625  0.7510 [2 per cell]
C  0.3718  0.3476  0.2488 [2 per cell]

***

4.
The following is a computed powder diffractogram of Rb2SiH5S. It was derived from a DFT-relaxed cell (GGA-PBE, Alexandria), using Cu Kα.

Principal peaks in the range 2θ from 10° to 90°, by angle:
4.426 Å, 2θ 20.06, intensity 43.3; 3.804 Å, 2θ 23.38, intensity 32.7; 3.130 Å, 2θ 28.52, intensity 92.8; 2.885 Å, 2θ 31.00, intensity 100.0; 2.417 Å, 2θ 37.20, intensity 43.9; 2.213 Å, 2θ 40.78, intensity 35.5; 1.913 Å, 2θ 47.53, intensity 19.9; 1.756 Å, 2θ 52.09, intensity 43.6

Structure:
Cell lengths 6.2592, 6.2592, 7.6088 Å; angles 90.00, 90.00, 90.00 degrees
Space group I4mm (No. 107)
Asymmetric unit:
Rb  0.0000  0.5000  0.0000 [4 per cell]
Si  0.0000  0.0000  0.2365 [2 per cell]
H  0.0000  0.0000  0.4435 [2 per cell]
H  0.1797  0.1797  0.2298 [8 per cell]
S  0.0000  0.0000  0.9039 [2 per cell]

***

5.
The following is a computed powder diffractogram of PuBePt2. It was derived from a DFT-relaxed cell (GGA-PBE, Alexandria), using Cu Kα.

Principal peaks in the range 2θ from 10° to 90°, by angle:
3.017 Å, 2θ 29.61, intensity 46.8; 2.802 Å, 2θ 31.94, intensity 21.9; 2.677 Å, 2θ 33.47, intensity 100.0; 2.401 Å, 2θ 37.46, intensity 56.4; 2.383 Å, 2θ 37.76, intensity 69.7; 1.982 Å, 2θ 45.79, intensity 55.4; 1.656 Å, 2θ 55.48, intensity 33.4; 1.528 Å, 2θ 60.59, intensity 28.6

Structure:
Cell lengths 3.9631, 3.9631, 9.0512 Å; angles 90.00, 90.00, 90.00 degrees
Space group P4/nmm (No. 129, origin choice 2)
Asymmetric unit:
Pu  0.2500  0.2500  0.2119 [2 per cell]
Be  0.2500  0.2500  0.6314 [2 per cell]
Pt  0.2500  0.2500  0.8841 [2 per cell]
Pt  0.2500  0.7500  0.5000 [2 per cell]

***

6.
The following is a computed powder diffractogram of KTlBrF. It was derived from a DFT-relaxed cell (GGA-PBE, Alexandria), using Cu Kα.

Principal peaks in the range 2θ from 10° to 90°, by angle:
5.053 Å, 2θ 17.55, intensity 29.3; 3.839 Å, 2θ 23.17, intensity 65.4; 3.580 Å, 2θ 24.87, intensity 27.6; 3.340 Å, 2θ 26.69, intensity 98.8; 2.958 Å, 2θ 30.21, intensity 100.0; 2.835 Å, 2θ 31.56, intensity 25.7; 2.249 Å, 2θ 40.10, intensity 73.9; 1.964 Å, 2θ 46.23, intensity 35.0

Structure:
Cell lengths 4.4973, 4.4973, 45.4754 Å; angles 90.00, 90.00, 120.00 degrees
Space group R-3m (No. 166, hexagonal axes)
Asymmetric unit:
K  0.0000  0.0000  0.1371 [6 per cell]
Tl  0.0000  0.0000  0.2985 [6 per cell]
Br  0.0000  0.0000  0.4027 [6 per cell]
F  0.0000  0.0000  0.1952 [6 per cell]

***

7.
The following is a computed powder diffractogram of AcPr2C2N6. It was derived from a DFT-relaxed cell (GGA-PBE, Alexandria), using Cu Kα.

Principal peaks in the range 2θ from 10° to 90°, by angle:
3.694 Å, 2θ 24.09, intensity 100.0; 2.997 Å, 2θ 29.81, intensity 79.8; 2.345 Å, 2θ 38.38, intensity 47.7; 2.327 Å, 2θ 38.69, intensity 39.3; 1.847 Å, 2θ 49.34, intensity 22.2; 1.838 Å, 2θ 49.59, intensity 37.5; 1.730 Å, 2θ 52.91, intensity 17.1; 1.572 Å, 2θ 58.72, intensity 23.3

Structure:
Cell lengths 5.9941, 5.9941, 5.2575 Å; angles 90.00, 90.00, 120.00 degrees
Space group P-3 (No. 147)
Asymmetric unit:
Ac  0.0000  0.0000  0.0000 [1 per cell]
Pr  0.3333  0.6667  0.2843 [2 per cell]
C  0.3333  0.6667  0.7694 [2 per cell]
N  0.1239  0.4241  0.7618 [6 per cell]

***

8.
The following is a computed powder diffractogram of La4TbSm2Tm. It was derived from a DFT-relaxed cell (GGA-PBE, Alexandria), using Cu Kα.

Principal peaks in the range 2θ from 10° to 90°, by angle:
2.986 Å, 2θ 29.92, intensity 100.0; 2.627 Å, 2θ 34.14, intensity 17.6; 2.608 Å, 2θ 34.38, intensity 17.3; 2.528 Å, 2θ 35.52, intensity 15.8; 1.851 Å, 2θ 49.23, intensity 12.6; 1.577 Å, 2θ 58.52, intensity 15.0; 1.569 Å, 2θ 58.85, intensity 14.7; 1.534 Å, 2θ 60.35, intensity 13.6

Structure:
Cell lengths 5.2166, 5.2530, 10.1104 Å; angles 90.00, 90.00, 90.00 degrees
Space group Pmmm (No. 47)
Asymmetric unit:
La  0.0000  0.0000  0.2488 [2 per cell]
La  0.5000  0.5000  0.2491 [2 per cell]
Tb  0.0000  0.5000  0.5000 [1 per cell]
Sm  0.0000  0.5000  0.0000 [1 per cell]
Sm  0.5000  0.0000  0.5000 [1 per cell]
Tm  0.5000  0.0000  0.0000 [1 per cell]

***

9.
The following is a computed powder diffractogram of NaGdH2S2O9. It was derived from a DFT-relaxed cell (GGA-PBE, Alexandria), using Cu Kα.

Principal peaks in the range 2θ from 10° to 90°, by angle:
6.037 Å, 2θ 14.67, intensity 44.2; 5.469 Å, 2θ 16.21, intensity 100.0; 3.486 Å, 2θ 25.55, intensity 36.8; 3.019 Å, 2θ 29.59, intensity 56.4; 2.847 Å, 2θ 31.43, intensity 63.4; 2.152 Å, 2θ 41.99, intensity 32.7; 1.863 Å, 2θ 48.88, intensity 39.0; 1.709 Å, 2θ 53.64, intensity 23.9

Structure:
Cell lengths 6.9715, 6.9715, 12.9120 Å; angles 90.00, 90.00, 120.00 degrees
Space group P3_221 (No. 154)
Asymmetric unit:
Na  0.0000  0.4751  0.3333 [3 per cell]
Gd  0.0000  0.4369  0.8333 [3 per cell]
H  0.0462  0.9487  0.4602 [6 per cell]
S  0.0144  0.4581  0.5926 [6 per cell]
O  0.0000  0.0864  0.8333 [3 per cell]
O  0.1237  0.6206  0.1490 [6 per cell]
O  0.1256  0.3873  0.0064 [6 per cell]
O  0.1331  0.6476  0.6657 [6 per cell]
O  0.1709  0.4152  0.5324 [6 per cell]

***

10.
The following is a computed powder diffractogram of GaHg2Bi. It was derived from a DFT-relaxed cell (GGA-PBE, Alexandria), using Cu Kα.

Principal peaks in the range 2θ from 10° to 90°, by angle:
3.133 Å, 2θ 28.49, intensity 22.8; 3.073 Å, 2θ 29.05, intensity 19.0; 2.866 Å, 2θ 31.21, intensity 41.3; 2.735 Å, 2θ 32.75, intensity 100.0; 2.458 Å, 2θ 36.56, intensity 43.5; 2.289 Å, 2θ 39.36, intensity 19.4; 1.821 Å, 2θ 50.11, intensity 40.8; 1.425 Å, 2θ 65.51, intensity 26.5

Structure:
Cell lengths 3.6411, 3.6411, 27.4713 Å; angles 90.00, 90.00, 120.00 degrees
Space group R3m (No. 160, hexagonal axes)
Asymmetric unit:
Ga  0.0000  0.0000  0.0000 [3 per cell]
Hg  0.0000  0.0000  0.4065 [3 per cell]
Hg  0.0000  0.0000  0.5927 [3 per cell]
Bi  0.0000  0.0000  0.1655 [3 per cell]

***

11.
The following is a computed powder diffractogram of Tb4CuNi. It was derived from a DFT-relaxed cell (GGA-PBE, Alexandria), using Cu Kα.

Principal peaks in the range 2θ from 10° to 90°, by angle:
4.701 Å, 2θ 18.88, intensity 16.0; 3.324 Å, 2θ 26.82, intensity 30.1; 3.007 Å, 2θ 29.71, intensity 100.0; 2.973 Å, 2θ 30.06, intensity 31.3; 2.367 Å, 2θ 38.01, intensity 25.0; 2.351 Å, 2θ 38.29, intensity 25.6; 1.928 Å, 2θ 47.13, intensity 31.2; 1.852 Å, 2θ 49.20, intensity 23.0

Structure:
Cell lengths 9.4023, 9.4023, 7.8258 Å; angles 90.00, 90.00, 90.00 degrees
Space group I4_1md (No. 109)
Asymmetric unit:
Tb  0.0000  0.2015  0.0000 [8 per cell]
Tb  0.0000  0.2073  0.4835 [8 per cell]
Cu  0.0000  0.0000  0.7406 [4 per cell]
Ni  0.0000  0.0000  0.2438 [4 per cell]

***

12.
The following is a computed powder diffractogram of HoTmO3. It was derived from a DFT-relaxed cell (GGA-PBE, Alexandria), using Cu Kα.

Principal peaks in the range 2θ from 10° to 90°, by angle:
5.102 Å, 2θ 17.38, intensity 100.0; 3.015 Å, 2θ 29.63, intensity 21.0; 2.946 Å, 2θ 30.34, intensity 75.0; 2.596 Å, 2θ 34.56, intensity 24.0; 2.107 Å, 2θ 42.92, intensity 71.6; 1.948 Å, 2θ 46.64, intensity 20.9; 1.701 Å, 2θ 53.91, intensity 15.5; 1.481 Å, 2θ 62.72, intensity 23.1

Structure:
Cell lengths 5.8918, 5.8918, 3.0149 Å; angles 90.00, 90.00, 120.00 degrees
Space group P-6m2 (No. 187)
Asymmetric unit:
Ho  0.0000  0.0000  0.0000 [1 per cell]
Tm  0.3333  0.6667  0.0000 [1 per cell]
O  0.1680  0.3360  0.5000 [3 per cell]